# 1
For Mg16BeAl12, DFT lattice parameters and positions (PBE) gives the computed PXRD pattern in this record (Cu Kα (λ = 1.5418 Å)).
Neutral-atom scattering factors, no anomalous dispersion.

Cell and atoms:
Cell lengths 14.6048, 14.6048, 9.3333 Å; angles 90.00, 90.00, 120.00 degrees
Space group R3m (No. 160, hexagonal axes)
Unique sites:
Mg1 0.0000 0.0000 0.0000
Mg2 0.0409 0.3596 0.3676
Mg3 0.0937 0.1874 0.4904
Mg4 0.1001 0.5500 0.5566
Mg5 0.1990 0.3980 0.1217
Be1 0.0000 0.0000 0.2822
Al1 0.1264 0.0632 0.7114
Al2 0.1529 0.4857 0.8559
Al3 0.2072 0.4143 0.6131

Main lines, in order of rising 2θ (10 to 90 degrees two-theta):
2theta, Rel. int., (hkl)
34.3, 25.1, 0 4 2
35.9, 87.4, 0 3 3
36.5, 100.0, 2 3 2
36.8, 63.7, 0 5 1
36.9, 34.6, 3 3 0
39.3, 32.6, 1 0 4
40.6, 41.4, 5 0 2
40.9, 30.7, 5 1 1
44.7, 23.4, 4 3 1
65.3, 26.2, 3 5 4



# 2
For BaMgTiO3, DFT lattice parameters and positions (PBE) gives the computed PXRD pattern in this record (Cu Kα (λ = 1.5418 Å)).
Neutral-atom scattering factors, no anomalous dispersion.

Cell and atoms:
Cell lengths 6.1711, 6.1711, 10.4661 Å; angles 90.00, 90.00, 120.00 degrees
Space group R3m (No. 160, hexagonal axes)
Unique sites:
Ba1 0.0000 0.0000 0.0000
Mg1 0.0000 0.0000 0.6906
Ti1 0.0000 0.0000 0.4327
O1 0.1708 0.3415 0.4414

Main lines, in order of rising 2θ (10 to 90 degrees two-theta):
2theta, Rel. int., (hkl)
18.6, 35.4, 1 0 1
23.8, 95.0, 0 1 2
25.5, 32.0, 0 0 3
28.9, 100.0, 1 1 0
34.6, 25.5, 0 2 1
37.8, 33.8, 2 0 2
38.3, 35.1, 1 0 4
39.0, 59.4, 1 1 3
48.3, 28.9, 1 2 2
60.0, 20.4, 2 2 0



# 3
For Y7Co6Sn23, DFT lattice parameters and positions (PBE) gives the computed PXRD pattern in this record (Cu Kα (λ = 1.5418 Å)).
Neutral-atom scattering factors, no anomalous dispersion.

Cell and atoms:
Cell lengths 9.7209, 9.7209, 9.9770 Å; angles 90.00, 90.00, 120.00 degrees
Space group P-3m1 (No. 164)
Unique sites:
Y1 0.0000 0.0000 0.0000
Y2 0.0437 0.5219 0.3060
Co1 0.1674 0.3349 0.8028
Sn1 0.0000 0.0000 0.5000
Sn2 0.0000 0.3457 0.0000
Sn3 0.1175 0.2350 0.2745
Sn4 0.2189 0.4378 0.5483
Sn5 0.3333 0.6667 0.1154
Sn6 0.3333 0.6667 0.8173

Main lines, in order of rising 2θ (10 to 90 degrees two-theta):
2theta, Rel. int., (hkl)
29.5, 17.0, 2 1 1
32.6, 21.3, 1 1 3
33.2, 100.0, 0 3 1
33.4, 58.6, 2 1 2
34.4, 39.4, 2 0 3
36.7, 42.3, 3 0 2
37.0, 20.4, 2 2 0
37.6, 24.8, 0 1 4
56.8, 27.1, 3 3 0
60.6, 21.8, 2 3 4



# 4
For UCoGe, DFT lattice parameters and positions (PBE) gives the computed PXRD pattern in this record (Cu Kα (λ = 1.5418 Å)).
Neutral-atom scattering factors, no anomalous dispersion.

Cell and atoms:
Cell lengths 4.1926, 4.1926, 6.8144 Å; angles 90.00, 90.00, 120.00 degrees
Space group P6_3/mmc (No. 194)
Unique sites:
U1 0.0000 0.0000 0.0000
Co1 0.3333 0.6667 0.2500
Ge1 0.3333 0.6667 0.7500

Main lines, in order of rising 2θ (10 to 90 degrees two-theta):
2theta, Rel. int., (hkl)
24.5, 37.2, 1 0 0
36.2, 100.0, 1 0 2
43.2, 46.4, 1 1 0
50.3, 5.9, 2 0 0
53.8, 8.1, 0 0 4
57.5, 26.5, 2 0 2
60.0, 7.2, 1 0 4
71.3, 21.2, 1 1 4
74.5, 25.4, 2 1 2
79.1, 8.0, 3 0 0